No. 1
This entry pairs a crystal structure of Tm4Ge6Rh7 with its theoretical X-ray powder pattern. Radiation: λ = 1.5418 Å (Cu Kα). Structure: a GGA-PBE-relaxed structure.

Cell and atoms:
```
17
Lattice="-4.1699 4.1699 4.1699 4.1699 -4.1699 4.1699 4.1699 4.1699 -4.1699" Properties=species:S:1:pos:R:3 pbc="T T T"
Tm 2.0850 2.0850 -2.0850
Tm 2.0850 -2.0850 2.0850
Tm -2.0850 2.0850 2.0850
Tm 2.0850 2.0850 2.0850
Ge 2.6563 0.0000 0.0000
Ge 5.6836 0.0000 0.0000
Ge 0.0000 2.6563 0.0000
Ge 0.0000 0.0000 2.6563
Ge 0.0000 5.6836 0.0000
Ge 0.0000 0.0000 5.6836
Rh 0.0000 0.0000 0.0000
Rh 4.1699 2.0850 0.0000
Rh 4.1699 0.0000 2.0850
Rh 2.0850 4.1699 0.0000
Rh 2.0850 0.0000 4.1699
Rh 0.0000 4.1699 2.0850
Rh 0.0000 2.0850 4.1699
```

The 12 most intense peaks (2θ = 15–90°), in order of rising 2θ:
30.3 deg, 2.949 Å, rel. 31
37.4 deg, 2.408 Å, rel. 100
40.5 deg, 2.229 Å, rel. 19
43.4 deg, 2.085 Å, rel. 63
46.2 deg, 1.966 Å, rel. 9
51.4 deg, 1.778 Å, rel. 14
63.1 deg, 1.474 Å, rel. 33
71.6 deg, 1.319 Å, rel. 11
75.6 deg, 1.257 Å, rel. 27
77.6 deg, 1.230 Å, rel. 8
79.6 deg, 1.204 Å, rel. 9
87.5 deg, 1.114 Å, rel. 8

No. 2
This entry pairs a crystal structure of TmGe6Rh12 with its theoretical X-ray powder pattern. Radiation: λ = 1.5418 Å (Cu Kα). Structure: a GGA-PBE-relaxed structure.

Cell and atoms:
```
19
Lattice="5.6819 3.2804 2.7547 -5.6819 3.2804 2.7547 0.0000 -6.5609 2.7547" Properties=species:S:1:pos:R:3 pbc="T T T"
Tm 0.0000 0.0000 0.0000
Ge 0.0000 -2.8902 3.3132
Ge -2.5030 1.4451 3.3132
Ge -2.5030 -1.4451 4.9508
Ge 2.5030 1.4451 3.3132
Ge 2.5030 -1.4451 4.9508
Ge 0.0000 2.8902 4.9508
Rh -2.1121 -3.6582 4.1320
Rh -4.2241 0.0000 4.1320
Rh -1.3845 -0.7993 2.8076
Rh 1.3845 -0.7993 2.8076
Rh 0.0000 1.5987 2.8076
Rh 2.1121 -3.6582 4.1320
Rh -2.1121 3.6582 4.1320
Rh 0.0000 -1.5987 5.4564
Rh -1.3845 0.7993 5.4564
Rh 1.3845 0.7993 5.4564
Rh 4.2241 0.0000 4.1320
Rh 2.1121 3.6582 4.1320
```

The 12 most intense peaks (2θ = 15–90°), in order of rising 2θ:
26.3 deg, 3.392 Å, rel. 16
27.2 deg, 3.280 Å, rel. 17
34.6 deg, 2.592 Å, rel. 100
36.2 deg, 2.479 Å, rel. 64
39.6 deg, 2.277 Å, rel. 27
41.5 deg, 2.178 Å, rel. 20
42.8 deg, 2.111 Å, rel. 60
45.8 deg, 1.980 Å, rel. 22
47.7 deg, 1.905 Å, rel. 22
51.4 deg, 1.777 Å, rel. 53
66.1 deg, 1.414 Å, rel. 20
75.3 deg, 1.263 Å, rel. 19

No. 3
This entry pairs a crystal structure of U4Ge6Rh7 with its theoretical X-ray powder pattern. Radiation: λ = 1.5418 Å (Cu Kα). Structure: a GGA-PBE-relaxed structure.

Cell and atoms:
```
17
Lattice="-4.2152 4.2152 4.2152 4.2152 -4.2152 4.2152 4.2152 4.2152 -4.2152" Properties=species:S:1:pos:R:3 pbc="T T T"
U 2.1076 2.1076 -2.1076
U 2.1076 -2.1076 2.1076
U -2.1076 2.1076 2.1076
U 2.1076 2.1076 2.1076
Ge 2.6452 0.0000 0.0000
Ge 5.7852 0.0000 0.0000
Ge 0.0000 2.6452 0.0000
Ge 0.0000 0.0000 2.6452
Ge 0.0000 5.7852 0.0000
Ge 0.0000 0.0000 5.7852
Rh 0.0000 0.0000 0.0000
Rh 4.2152 2.1076 0.0000
Rh 4.2152 0.0000 2.1076
Rh 2.1076 4.2152 0.0000
Rh 2.1076 0.0000 4.2152
Rh 0.0000 4.2152 2.1076
Rh 0.0000 2.1076 4.2152
```

The 12 most intense peaks (2θ = 15–90°), in order of rising 2θ:
21.1 deg, 4.215 Å, rel. 14
30.0 deg, 2.981 Å, rel. 46
36.9 deg, 2.434 Å, rel. 100
40.0 deg, 2.253 Å, rel. 13
42.9 deg, 2.108 Å, rel. 61
48.3 deg, 1.885 Å, rel. 14
53.2 deg, 1.721 Å, rel. 13
62.3 deg, 1.490 Å, rel. 34
70.7 deg, 1.333 Å, rel. 14
74.7 deg, 1.271 Å, rel. 30
78.6 deg, 1.217 Å, rel. 10
86.4 deg, 1.127 Å, rel. 13

No. 4
This entry pairs a crystal structure of U4Ge12Rh with its theoretical X-ray powder pattern. Radiation: λ = 1.5418 Å (Cu Kα). Structure: a GGA-PBE-relaxed structure.

Cell and atoms:
```
17
Lattice="-4.2857 4.2857 4.2857 4.2857 -4.2857 4.2857 4.2857 4.2857 -4.2857" Properties=species:S:1:pos:R:3 pbc="T T T"
U 2.1428 2.1428 -2.1428
U 2.1428 -2.1428 2.1428
U -2.1428 2.1428 2.1428
U 2.1428 2.1428 2.1428
Ge 2.4628 0.0000 0.0000
Ge 6.1086 0.0000 0.0000
Ge 4.2857 2.1428 0.0000
Ge 4.2857 0.0000 2.1428
Ge 0.0000 2.4628 0.0000
Ge 0.0000 0.0000 2.4628
Ge 2.1428 4.2857 0.0000
Ge 2.1428 0.0000 4.2857
Ge 0.0000 6.1086 0.0000
Ge 0.0000 0.0000 6.1086
Ge 0.0000 4.2857 2.1428
Ge 0.0000 2.1428 4.2857
Rh 0.0000 0.0000 0.0000
```

The 12 most intense peaks (2θ = 15–90°), in order of rising 2θ:
20.7 deg, 4.286 Å, rel. 24
29.5 deg, 3.030 Å, rel. 52
36.3 deg, 2.474 Å, rel. 100
42.2 deg, 2.143 Å, rel. 62
47.4 deg, 1.917 Å, rel. 16
52.3 deg, 1.750 Å, rel. 19
61.2 deg, 1.515 Å, rel. 39
65.3 deg, 1.429 Å, rel. 9
69.3 deg, 1.355 Å, rel. 13
73.3 deg, 1.292 Å, rel. 35
77.1 deg, 1.237 Å, rel. 13
84.6 deg, 1.145 Å, rel. 14

No. 5
This entry pairs a crystal structure of UGe4Rh5 with its theoretical X-ray powder pattern. Radiation: λ = 1.5418 Å (Cu Kα). Structure: a GGA-PBE-relaxed structure.

Cell and atoms:
```
20
Lattice="7.2231 0.0000 0.0000 0.0000 8.5798 0.0000 0.0000 0.0000 5.5499" Properties=species:S:1:pos:R:3 pbc="T T T"
U 1.8058 2.1449 0.5018
U 5.4174 6.4348 5.0481
Ge 0.4468 2.1449 3.2707
Ge 1.8058 5.1288 5.3405
Ge 1.8058 7.7409 5.3405
Ge 3.1648 2.1449 3.2707
Ge 4.0583 6.4348 2.2792
Ge 5.4174 0.8389 0.2093
Ge 5.4174 3.4510 0.2093
Ge 6.7764 6.4348 2.2792
Rh 0.2463 0.2058 1.4399
Rh 0.2463 4.0841 1.4399
Rh 1.8058 6.4348 3.2575
Rh 3.3653 0.2058 1.4399
Rh 3.3653 4.0841 1.4399
Rh 3.8579 4.4957 4.1100
Rh 3.8579 8.3740 4.1100
Rh 5.4174 2.1449 2.2924
Rh 6.9769 4.4957 4.1100
Rh 6.9769 8.3740 4.1100
```

The 12 most intense peaks (2θ = 15–90°), in order of rising 2θ:
19.0 deg, 4.660 Å, rel. 41
29.5 deg, 3.027 Å, rel. 56
32.4 deg, 2.763 Å, rel. 100
37.5 deg, 2.398 Å, rel. 65
38.6 deg, 2.330 Å, rel. 67
40.7 deg, 2.217 Å, rel. 54
41.0 deg, 2.200 Å, rel. 67
42.1 deg, 2.145 Å, rel. 42
43.5 deg, 2.079 Å, rel. 41
46.2 deg, 1.964 Å, rel. 39
52.3 deg, 1.748 Å, rel. 52
56.9 deg, 1.617 Å, rel. 41

No. 6
This entry pairs a crystal structure of U2Ge3Rh3 with its theoretical X-ray powder pattern. Radiation: λ = 1.5418 Å (Cu Kα). Structure: a GGA-PBE-relaxed structure.

Cell and atoms:
```
8
Lattice="2.7248 0.0000 0.0000 0.0000 2.7248 0.0000 0.0000 0.0000 20.3838" Properties=species:S:1:pos:R:3 pbc="T T T"
U 0.0000 0.0000 4.9262
U 0.0000 0.0000 15.4576
Ge 0.0000 0.0000 0.0000
Ge 0.0000 0.0000 7.7927
Ge 0.0000 0.0000 12.5911
Rh 0.0000 0.0000 2.5059
Rh 0.0000 0.0000 10.1919
Rh 0.0000 0.0000 17.8779
```

The 12 most intense peaks (2θ = 15–90°), in order of rising 2θ:
17.4 deg, 5.096 Å, rel. 15
32.9 deg, 2.725 Å, rel. 100
34.1 deg, 2.632 Å, rel. 11
35.2 deg, 2.548 Å, rel. 37
37.4 deg, 2.403 Å, rel. 10
47.2 deg, 1.927 Å, rel. 37
48.9 deg, 1.861 Å, rel. 59
60.2 deg, 1.537 Å, rel. 32
68.9 deg, 1.362 Å, rel. 12
78.5 deg, 1.219 Å, rel. 17
79.8 deg, 1.201 Å, rel. 14
89.1 deg, 1.099 Å, rel. 23

No. 7
This entry pairs a crystal structure of UGe2Rh3 with its theoretical X-ray powder pattern. Radiation: λ = 1.5418 Å (Cu Kα). Structure: a GGA-PBE-relaxed structure.

Cell and atoms:
```
18
Lattice="8.3463 -1.9770 0.0000 8.3463 1.9770 0.0000 -3.0177 0.0000 9.2457" Properties=species:S:1:pos:R:3 pbc="T T T"
U 0.0000 0.0000 0.0000
U 0.6348 0.0000 6.4959
U 13.0401 0.0000 2.7499
Ge 2.8191 0.0000 1.1309
Ge 4.4115 0.0000 5.0760
Ge 6.9362 0.0000 2.0774
Ge 6.7388 0.0000 7.1683
Ge 9.2634 0.0000 4.1697
Ge 10.8559 0.0000 8.1149
Rh -0.2849 0.0000 3.0175
Rh 2.4797 0.0000 3.5961
Rh 5.1711 0.0000 0.4227
Rh 4.0551 0.0000 7.5758
Rh 6.8375 0.0000 4.6229
Rh 9.6199 0.0000 1.6699
Rh 8.5039 0.0000 8.8230
Rh 11.1953 0.0000 5.6497
Rh 13.9599 0.0000 6.2283
```

The 12 most intense peaks (2θ = 15–90°), in order of rising 2θ:
31.1 deg, 2.873 Å, rel. 23
31.5 deg, 2.839 Å, rel. 25
33.9 deg, 2.645 Å, rel. 21
35.2 deg, 2.550 Å, rel. 37
36.0 deg, 2.496 Å, rel. 100
36.3 deg, 2.475 Å, rel. 25
36.8 deg, 2.442 Å, rel. 32
37.3 deg, 2.412 Å, rel. 37
39.9 deg, 2.258 Å, rel. 19
44.1 deg, 2.055 Å, rel. 26
44.4 deg, 2.039 Å, rel. 22
45.9 deg, 1.977 Å, rel. 48

No. 8
This entry pairs a crystal structure of U2Ge3Rh5 with its theoretical X-ray powder pattern. Radiation: λ = 1.5418 Å (Cu Kα). Structure: a GGA-PBE-relaxed structure.

Cell and atoms:
```
20
Lattice="2.0700 -12.4692 0.0000 2.0700 12.4692 0.0000 0.0000 0.0000 6.5254" Properties=species:S:1:pos:R:3 pbc="T T T"
U 2.0700 12.0112 3.2627
U 2.0700 4.3831 2.9694
U 2.0700 -4.3831 6.2321
U 2.0700 -12.0112 0.0000
Ge 2.0700 9.4499 1.8424
Ge 2.0700 5.4569 6.0310
Ge 2.0700 1.1775 1.9267
Ge 2.0700 -1.1775 5.1895
Ge 2.0700 -5.4569 2.7683
Ge 2.0700 -9.4499 5.1051
Rh 2.0700 9.9087 5.6540
Rh 2.0700 7.5023 4.3243
Rh 2.0700 6.9670 1.4163
Rh 2.0700 3.0257 0.2494
Rh 2.0700 1.3566 4.4285
Rh 2.0700 -1.3566 1.1658
Rh 2.0700 -3.0257 3.5121
Rh 2.0700 -6.9670 4.6791
Rh 2.0700 -7.5023 1.0616
Rh 2.0700 -9.9087 2.3913
```

The 12 most intense peaks (2θ = 15–90°), in order of rising 2θ:
24.0 deg, 3.706 Å, rel. 12
35.0 deg, 2.566 Å, rel. 19
36.0 deg, 2.495 Å, rel. 81
36.7 deg, 2.449 Å, rel. 100
38.7 deg, 2.330 Å, rel. 30
39.1 deg, 2.303 Å, rel. 30
39.5 deg, 2.279 Å, rel. 31
43.7 deg, 2.070 Å, rel. 42
44.1 deg, 2.054 Å, rel. 16
59.8 deg, 1.547 Å, rel. 17
69.1 deg, 1.359 Å, rel. 15
75.7 deg, 1.256 Å, rel. 14

No. 9
This entry pairs a crystal structure of V4GeRh with its theoretical X-ray powder pattern. Radiation: λ = 1.5418 Å (Cu Kα). Structure: a GGA-PBE-relaxed structure.

Cell and atoms:
```
12
Lattice="6.2055 -3.0860 0.0000 6.2055 3.0860 0.0000 -1.8692 0.0000 4.5392" Properties=species:S:1:pos:R:3 pbc="T T T"
V 3.8704 1.8072 1.6903
V 6.2055 1.9935 0.0000
V 2.3349 0.0000 3.7022
V 6.6714 1.8072 2.8488
V 3.8704 -1.8072 1.6903
V 8.2069 0.0000 0.8370
V 6.2055 -1.9935 0.0000
V 6.6714 -1.8072 2.8488
Ge 5.7057 0.0000 1.2026
Ge 4.8362 0.0000 3.3366
Rh 2.1785 0.0000 0.9289
Rh 8.3633 0.0000 3.6103
```

The 12 most intense peaks (2θ = 15–90°), in order of rising 2θ:
27.4 deg, 3.251 Å, rel. 68
28.9 deg, 3.086 Å, rel. 34
36.6 deg, 2.454 Å, rel. 75
40.2 deg, 2.243 Å, rel. 64
41.7 deg, 2.166 Å, rel. 100
42.0 deg, 2.149 Å, rel. 99
43.0 deg, 2.101 Å, rel. 57
43.2 deg, 2.092 Å, rel. 54
43.8 deg, 2.067 Å, rel. 49
44.8 deg, 2.025 Å, rel. 41
49.9 deg, 1.828 Å, rel. 57
50.3 deg, 1.814 Å, rel. 65

No. 10
This entry pairs a crystal structure of YGe2Rh4 with its theoretical X-ray powder pattern. Radiation: λ = 1.5418 Å (Cu Kα). Structure: a GGA-PBE-relaxed structure.

Cell and atoms:
```
14
Lattice="7.7178 0.0000 0.0000 0.0000 7.7178 0.0000 0.0000 0.0000 3.8847" Properties=species:S:1:pos:R:3 pbc="T T T"
Y 0.0000 0.0000 0.0000
Y 3.8589 3.8589 1.9423
Ge 1.7485 1.7485 1.9423
Ge 2.1104 5.6074 0.0000
Ge 5.6074 2.1104 0.0000
Ge 5.9693 5.9693 1.9423
Rh 0.5885 5.1239 1.9423
Rh 1.2650 3.2704 0.0000
Rh 2.5939 7.1293 1.9423
Rh 3.2704 1.2650 0.0000
Rh 4.4474 6.4528 0.0000
Rh 5.1239 0.5885 1.9423
Rh 6.4528 4.4474 0.0000
Rh 7.1293 2.5939 1.9423
```

The 12 most intense peaks (2θ = 15–90°), in order of rising 2θ:
16.2 deg, 5.457 Å, rel. 24
34.8 deg, 2.580 Å, rel. 100
36.8 deg, 2.441 Å, rel. 40
40.4 deg, 2.233 Å, rel. 48
43.8 deg, 2.067 Å, rel. 77
46.8 deg, 1.942 Å, rel. 34
48.6 deg, 1.872 Å, rel. 34
61.0 deg, 1.520 Å, rel. 18
65.0 deg, 1.434 Å, rel. 29
69.8 deg, 1.348 Å, rel. 20
83.9 deg, 1.153 Å, rel. 11
84.7 deg, 1.144 Å, rel. 11

No. 11
This entry pairs a crystal structure of Y3Ge2Rh2 with its theoretical X-ray powder pattern. Radiation: λ = 1.5418 Å (Cu Kα). Structure: a GGA-PBE-relaxed structure.

Cell and atoms:
```
28
Lattice="5.6180 0.0000 0.0000 0.0000 7.7980 0.0000 0.0000 0.0000 13.3234" Properties=species:S:1:pos:R:3 pbc="T T T"
Y 0.7238 1.8629 3.3309
Y 0.7238 2.0361 9.9926
Y 2.0074 4.7024 1.3444
Y 2.0074 4.7024 5.3173
Y 2.0074 6.9946 8.0061
Y 2.0074 6.9946 11.9790
Y 3.6105 0.8034 1.3444
Y 3.6105 0.8034 5.3173
Y 3.6105 3.0956 8.0061
Y 3.6105 3.0956 11.9790
Y 4.8942 5.7619 3.3309
Y 4.8942 5.9351 9.9926
Ge 0.9032 1.9495 0.0000
Ge 0.9032 1.9495 6.6617
Ge 2.0780 4.7788 9.9926
Ge 2.0780 6.9182 3.3309
Ge 3.5400 0.8798 9.9926
Ge 3.5400 3.0192 3.3309
Ge 4.7148 5.8485 0.0000
Ge 4.7148 5.8485 6.6617
Rh 0.7160 4.2343 7.8878
Rh 0.7160 4.2343 12.0974
Rh 0.7160 7.4627 1.2260
Rh 0.7160 7.4627 5.4357
Rh 4.9020 0.3353 7.8878
Rh 4.9020 0.3353 12.0974
Rh 4.9020 3.5637 1.2260
Rh 4.9020 3.5637 5.4357
```

The 12 most intense peaks (2θ = 15–90°), in order of rising 2θ:
20.6 deg, 4.308 Å, rel. 18
33.3 deg, 2.689 Å, rel. 40
33.9 deg, 2.643 Å, rel. 35
34.5 deg, 2.596 Å, rel. 77
35.4 deg, 2.533 Å, rel. 47
38.1 deg, 2.359 Å, rel. 65
39.0 deg, 2.309 Å, rel. 20
39.7 deg, 2.271 Å, rel. 100
40.6 deg, 2.221 Å, rel. 30
43.4 deg, 2.083 Å, rel. 20
49.5 deg, 1.842 Å, rel. 17
58.5 deg, 1.578 Å, rel. 18